(1)
Theoretical X-ray powder pattern of TlPtS for a wavelength of 1.5418 Å, from a DFT-relaxed cell (GGA-PBE, OQMD).
Lines closer than 0.1° are merged.

Structural model:
a b c (Å): 5.9769 5.9769 5.9769
angles (deg): 38.99 38.99 38.99
Fractional positions:
Tl 0.0000 0.0000 0.0000
Pt 0.4901 0.4901 0.4901
S 0.8084 0.8084 0.8084

Top 10 peaks for 15° ≤ 2θ ≤ 90°, in order of falling intensity:
- 2θ 27.99, intensity 1000
- 2θ 33.80, intensity 691
- 2θ 45.48, intensity 362
- 2θ 56.98, intensity 348
- 2θ 32.47, intensity 284
- 2θ 51.50, intensity 172
- 2θ 54.25, intensity 166
- 2θ 57.85, intensity 152
- 2θ 73.41, intensity 137
- 2θ 76.50, intensity 135


(2)
Theoretical X-ray powder pattern of Hf9Ni11 for a wavelength of 1.5418 Å, from a DFT-relaxed cell (GGA-PBE, OQMD).
Lines closer than 0.1° are merged.

Structural model:
a b c (Å): 7.6592 7.6592 7.6592
angles (deg): 100.15 100.15 130.35
Fractional positions:
Hf 0.0000 0.0000 0.0000
Hf 0.0923 0.3101 0.4024
Hf 0.2429 0.5868 0.8297
Hf 0.3101 0.9077 0.2178
Hf 0.4132 0.2429 0.6561
Hf 0.5868 0.7571 0.3439
Hf 0.6899 0.0923 0.7822
Hf 0.7571 0.4132 0.1703
Hf 0.9077 0.6899 0.5976
Ni 0.0112 0.9068 0.3359
Ni 0.0932 0.4291 0.1044
Ni 0.2500 0.7500 0.5000
Ni 0.3247 0.9888 0.8956
Ni 0.4291 0.3247 0.3359
Ni 0.5000 0.5000 0.0000
Ni 0.5709 0.6753 0.6641
Ni 0.6753 0.0112 0.1044
Ni 0.7500 0.2500 0.5000
Ni 0.9068 0.5709 0.8956
Ni 0.9888 0.0932 0.6641

Top 10 peaks for 15° ≤ 2θ ≤ 90°, in order of falling intensity:
- 2θ 40.35, intensity 1000
- 2θ 41.06, intensity 413
- 2θ 28.72, intensity 229
- 2θ 35.77, intensity 170
- 2θ 27.74, intensity 165
- 2θ 74.33, intensity 157
- 2θ 72.89, intensity 117
- 2θ 59.47, intensity 101
- 2θ 50.28, intensity 85
- 2θ 65.34, intensity 85


(3)
Theoretical X-ray powder pattern of Gd3CuSnS7 for a wavelength of 1.5418 Å, from a DFT-relaxed cell (GGA-PBE, OQMD).
Lines closer than 0.1° are merged.

Structural model:
a b c (Å): 9.8533 9.8533 6.1793
angles (deg): 90.00 90.00 120.00
Fractional positions:
Gd 0.1444 0.3589 0.0000
Gd 0.2145 0.8556 0.0000
Gd 0.3589 0.2145 0.5000
Gd 0.6411 0.7855 0.0000
Gd 0.7855 0.1444 0.5000
Gd 0.8556 0.6411 0.5000
Cu 0.0000 0.0000 0.0972
Cu 0.0000 0.0000 0.5972
Sn 0.3333 0.6667 0.4326
Sn 0.6667 0.3333 0.9326
S 0.0832 0.5667 0.2523
S 0.1099 0.2604 0.5693
S 0.1505 0.8901 0.5693
S 0.2604 0.1505 0.0693
S 0.3333 0.6667 0.8186
S 0.4333 0.5164 0.2523
S 0.4836 0.9168 0.2523
S 0.5164 0.0832 0.7523
S 0.5667 0.4836 0.7523
S 0.6667 0.3333 0.3186
S 0.7396 0.8495 0.5693
S 0.8495 0.1099 0.0693
S 0.8901 0.7396 0.0693
S 0.9168 0.4333 0.7523

Top 10 peaks for 15° ≤ 2θ ≤ 90°, in order of falling intensity:
- 2θ 25.37, intensity 1000
- 2θ 36.48, intensity 523
- 2θ 35.89, intensity 278
- 2θ 47.19, intensity 231
- 2θ 49.12, intensity 216
- 2θ 28.90, intensity 206
- 2θ 40.43, intensity 205
- 2θ 20.82, intensity 171
- 2θ 44.95, intensity 152
- 2θ 30.78, intensity 134


Copy entry 1 word for word.
Theoretical X-ray powder pattern of TlPtS for a wavelength of 1.5418 Å, from a DFT-relaxed cell (GGA-PBE, OQMD).
Lines closer than 0.1° are merged.

Structural model:
a b c (Å): 5.9769 5.9769 5.9769
angles (deg): 38.99 38.99 38.99
Fractional positions:
Tl 0.0000 0.0000 0.0000
Pt 0.4901 0.4901 0.4901
S 0.8084 0.8084 0.8084

Top 10 peaks for 15° ≤ 2θ ≤ 90°, in order of falling intensity:
- 2θ 27.99, intensity 1000
- 2θ 33.80, intensity 691
- 2θ 45.48, intensity 362
- 2θ 56.98, intensity 348
- 2θ 32.47, intensity 284
- 2θ 51.50, intensity 172
- 2θ 54.25, intensity 166
- 2θ 57.85, intensity 152
- 2θ 73.41, intensity 137
- 2θ 76.50, intensity 135